No. 1
Calculated powder diffraction line list of K4MgMn4O8 for a wavelength of 1.5418 Å, from a structure optimized by DFT (PBE+U).
No peak broadening, texture or thermal motion is included.

Structural model:
Unit cell a=3.092 b=6.719 c=13.025 alpha=96.55 beta=91.22 gamma=90.56
Positions (direct):
K (0.000, 0.000, 0.000)
K (0.015, 0.788, 0.407)
K (0.483, 0.162, 0.687)
K (0.501, 0.572, 0.154)
Mg (0.967, 0.587, 0.615)
Mn (0.030, 0.296, 0.433)
Mn (0.487, 0.719, 0.781)
Mn (0.508, 0.102, 0.249)
Mn (0.996, 0.467, 0.918)
O (0.003, 0.916, 0.207)
O (0.011, 0.304, 0.261)
O (0.458, 0.511, 0.522)
O (0.497, 0.297, 0.951)
O (0.499, 0.672, 0.937)
O (0.527, 0.092, 0.412)
O (0.981, 0.852, 0.703)
O (0.984, 0.476, 0.754)

Main lines, in order of rising 2θ (2θ from 10° to 90°):
- hkl 0 0 2, 2θ 13.69, d 6.468, rel. 49
- hkl 0 1 -1, 2θ 14.22, d 6.229, rel. 100
- hkl 0 1 1, 2θ 15.62, d 5.673, rel. 55
- hkl 0 1 3, 2θ 25.85, d 3.447, rel. 57
- hkl 0 0 4, 2θ 27.58, d 3.234, rel. 76
- hkl 0 2 -2, 2θ 28.66, d 3.114, rel. 66
- hkl 0 1 -5, 2θ 35.76, d 2.511, rel. 66
- hkl -1 2 1, 2θ 40.57, d 2.224, rel. 51
- hkl 1 2 1, 2θ 41.29, d 2.186, rel. 40
- hkl 2 0 0, 2θ 59.84, d 1.546, rel. 44

No. 2
Calculated powder diffraction line list of LiCoPO4F for a wavelength of 1.5418 Å, from a structure optimized by DFT (PBE+U).
No peak broadening, texture or thermal motion is included.

Structural model:
Unit cell a=5.169 b=5.351 c=7.332 alpha=110.00 beta=105.10 gamma=99.13
Positions (direct):
Li (0.077, 0.432, 0.309)
Li (0.923, 0.568, 0.691)
Co (0.000, 0.000, 0.500)
Co (0.500, 0.500, 0.000)
P (0.446, 0.120, 0.265)
P (0.554, 0.880, 0.735)
O (0.236, 0.771, 0.611)
O (0.285, 0.154, 0.421)
O (0.349, 0.311, 0.158)
O (0.363, 0.817, 0.112)
O (0.637, 0.183, 0.888)
O (0.651, 0.689, 0.842)
O (0.715, 0.846, 0.579)
O (0.764, 0.229, 0.389)
F (0.132, 0.333, 0.768)
F (0.868, 0.667, 0.232)

Main lines, in order of rising 2θ (2θ from 10° to 90°):
- hkl 0 1 -1, 2θ 17.94, d 4.946, rel. 54
- hkl 1 0 0, 2θ 18.48, d 4.801, rel. 35
- hkl 1 0 -1, 2θ 18.90, d 4.694, rel. 77
- hkl 1 -1 0, 2θ 22.24, d 3.997, rel. 34
- hkl 1 0 1, 2θ 26.59, d 3.352, rel. 80
- hkl -1 1 1, 2θ 26.78, d 3.329, rel. 26
- hkl 0 1 1, 2θ 27.07, d 3.294, rel. 100
- hkl 1 1 -2, 2θ 29.62, d 3.016, rel. 99
- hkl 1 -1 2, 2θ 34.76, d 2.581, rel. 27
- hkl 1 -2 1, 2θ 36.11, d 2.488, rel. 40